For FeMo6Se8, a crystal structure in Alexandria, relaxed with PBE gives the computed X-ray diffraction stick pattern in this record (Cu Kα X-rays).
Intensities are scaled so that the largest is 100.

Largest 12 diffraction maxima, in order of falling intensity, 5 to 70 degrees two-theta:
d/Å	2theta	I_rel
6.807	13.01	100
2.085	43.40	46
6.882	12.86	33
2.204	40.95	22
2.034	44.55	20
1.891	48.11	17
2.335	38.55	17
1.881	48.40	16
2.352	38.26	15
1.864	48.86	14
2.745	32.62	14
2.278	39.56	13

Cell lengths 6.8083, 6.8421, 6.8869 Å; angles 91.39, 91.41, 94.36 degrees
Positions (direct):
Fe1 0.0000 0.0000 0.0000
Mo1 0.0904 0.0584 0.3645
Mo2 0.2690 0.7445 0.4947
Mo3 0.3074 0.0874 0.7085
Mo4 0.3968 0.9265 0.1677
Mo5 0.4391 0.2754 0.3943
Mo6 0.6146 0.9609 0.5177
Se1 0.0694 0.7087 0.1690
Se2 0.1257 0.3750 0.5718
Se3 0.2554 0.2585 0.0598
Se4 0.4758 0.7724 0.8117
Se5 0.5813 0.6423 0.3092
Se6 0.6399 0.2883 0.7104
Se7 0.7351 0.1342 0.1977
Se8 0.9677 0.8667 0.6692

For Pr2Ni16H, a crystal structure in Alexandria, relaxed with PBE gives the computed X-ray diffraction stick pattern in this record (Cu Kα X-rays).
Intensities are scaled so that the largest is 100.

Largest 12 diffraction maxima, in order of falling intensity, 5 to 70 degrees two-theta:
d/Å	2theta	I_rel
2.076	43.61	100
2.104	42.98	49
2.896	30.87	42
1.996	45.44	31
2.430	36.99	27
1.862	48.93	22
1.448	64.33	18
1.478	62.89	17
2.313	38.93	14
2.002	45.31	11
3.487	25.55	8
2.685	33.37	8

Cell lengths 6.2891, 6.2891, 6.2891 Å; angles 84.01, 84.01, 84.01 degrees
Positions (direct):
Pr1 0.0000 0.0000 0.0000
Pr2 0.3287 0.3287 0.3287
Ni1 0.0161 0.0161 0.5164
Ni2 0.0161 0.5164 0.0161
Ni3 0.1787 0.6675 0.6675
Ni4 0.3270 0.3270 0.8225
Ni5 0.3270 0.8225 0.3270
Ni6 0.3814 0.6727 0.9632
Ni7 0.3814 0.9632 0.6727
Ni8 0.5164 0.0161 0.0161
Ni9 0.5957 0.5957 0.5957
Ni10 0.6675 0.1787 0.6675
Ni11 0.6675 0.6675 0.1787
Ni12 0.6727 0.3814 0.9632
Ni13 0.6727 0.9632 0.3814
Ni14 0.8225 0.3270 0.3270
Ni15 0.9632 0.3814 0.6727
Ni16 0.9632 0.6727 0.3814
H1 0.7214 0.7214 0.7214

For YIn2Pt2, a crystal structure in Alexandria, relaxed with PBE gives the computed X-ray diffraction stick pattern in this record (Cu Kα X-rays).
Intensities are scaled so that the largest is 100.

Largest 12 diffraction maxima, in order of falling intensity, 5 to 70 degrees two-theta:
d/Å	2theta	I_rel
2.406	37.37	100
2.306	39.07	98
4.168	21.32	39
1.369	68.54	37
1.665	55.17	36
3.329	26.78	18
1.389	67.41	18
5.535	16.01	12
1.816	50.24	7
2.207	40.90	7
2.084	43.43	6
1.575	58.60	5

Cell lengths 4.8123, 4.8123, 5.5354 Å; angles 90.00, 90.00, 120.00 degrees
Positions (direct):
Y1 0.0000 0.0000 0.0000
In1 0.3333 0.6667 0.3446
In2 0.6667 0.3333 0.6554
Pt1 0.3333 0.6667 0.8310
Pt2 0.6667 0.3333 0.1690

For Nd6CdSi2S14, a crystal structure in Alexandria, relaxed with PBE gives the computed X-ray diffraction stick pattern in this record (Cu Kα X-rays).
Intensities are scaled so that the largest is 100.

Largest 12 diffraction maxima, in order of falling intensity, 5 to 70 degrees two-theta:
d/Å	2theta	I_rel
3.514	25.34	100
2.469	36.40	59
2.267	39.76	55
3.825	23.25	51
2.408	37.34	44
3.364	26.50	40
4.817	18.42	39
2.569	34.92	36
2.181	41.41	34
2.502	35.90	34
1.869	48.71	33
1.839	49.56	27

Cell lengths 10.2775, 10.2775, 5.7279 Å; angles 90.00, 90.00, 120.00 degrees
Positions (direct):
Nd1 0.0242 0.5686 0.0000
Nd2 0.3088 0.0981 0.4953
Nd3 0.4314 0.4556 0.0000
Nd4 0.5444 0.9758 0.0000
Nd5 0.7892 0.6912 0.4953
Nd6 0.9019 0.2108 0.4953
Cd1 0.6667 0.3333 0.7554
Si1 0.0000 0.0000 0.9064
Si2 0.3333 0.6667 0.4140
S1 0.0000 0.0000 0.2748
S2 0.0752 0.8561 0.7618
S3 0.1439 0.2192 0.7618
S4 0.1896 0.4478 0.2672
S5 0.2582 0.8104 0.2672
S6 0.3333 0.6667 0.7817
S7 0.4109 0.1631 0.0055
S8 0.4981 0.4212 0.5161
S9 0.5522 0.7418 0.2672
S10 0.5788 0.0768 0.5161
S11 0.7521 0.5891 0.0055
S12 0.7808 0.9248 0.7618
S13 0.8369 0.2479 0.0055
S14 0.9232 0.5019 0.5161